[1]
Diffraction record for NaMgGa4Pt2. The powder diffraction line list is computed, not measured: it uses a DFT-relaxed cell (GGA-PBE, OQMD) and CuKα.

Peak list (6 most intense, 2θ from 5° to 70°, low angle first)
2θ/deg, I (rel.), h k l
18.41, 91, 0 0 2
26.50, 100, 1 1 1
34.51, 60, 2 1 1
37.57, 72, 1 1 3
43.81, 73, 2 1 3
45.11, 87, 3 1 1

Structure:
a = 7.088 Å, b = 4.163 Å, c = 9.637 Å
α = 90.00°, β = 90.00°, γ = 90.00°
Space group Amm2 (No. 38)
Inequivalent atoms, fractional coordinates:
Na 0.000 0.000 0.000 (multiplicity 2)
Mg 0.500 0.000 0.845 (multiplicity 2)
Ga 0.200 0.000 0.288 (multiplicity 4)
Ga 0.300 0.000 0.559 (multiplicity 4)
Pt 0.000 0.000 0.714 (multiplicity 2)
Pt 0.500 0.000 0.131 (multiplicity 2)

[2]
Diffraction record for Na2MgZn2GaPt2. The powder diffraction line list is computed, not measured: it uses a DFT-relaxed cell (GGA-PBE, OQMD) and CuKα.

Peak list (6 most intense, 2θ from 5° to 70°, low angle first)
2θ/deg, I (rel.), h k l
24.02, 91, 1 0 1
39.68, 100, 1 1 2
39.83, 50, 2 0 0
46.78, 15, 1 0 3
47.05, 31, 2 1 1
57.60, 17, 2 2 0

Structure:
a = 4.526 Å, b = 4.526 Å, c = 6.450 Å
α = 90.00°, β = 90.00°, γ = 90.00°
Space group P-4m2 (No. 115)
Inequivalent atoms, fractional coordinates:
Na 0.000 0.500 0.248 (multiplicity 2)
Mg 0.500 0.500 0.500 (multiplicity 1)
Zn 0.000 0.000 0.500 (multiplicity 1)
Zn 0.500 0.500 0.000 (multiplicity 1)
Ga 0.000 0.000 0.000 (multiplicity 1)
Pt 0.000 0.500 0.762 (multiplicity 2)

[3]
Diffraction record for Na4MgZnGa2. The powder diffraction line list is computed, not measured: it uses a DFT-relaxed cell (GGA-PBE, OQMD) and CuKα.

Peak list (6 most intense, 2θ from 5° to 70°, low angle first)
2θ/deg, I (rel.), h k l
21.91, 37, 1 0 1
36.02, 100, 1 1 2
36.43, 49, 2 0 0
52.47, 16, 2 2 0
64.50, 16, 2 0 4
65.29, 32, 3 1 2

Structure:
a = 4.933 Å, b = 4.933 Å, c = 7.131 Å
α = 90.00°, β = 90.00°, γ = 90.00°
Space group P-4m2 (No. 115)
Inequivalent atoms, fractional coordinates:
Na 0.000 0.000 0.000 (multiplicity 1)
Na 0.000 0.500 0.733 (multiplicity 2)
Na 0.500 0.500 0.500 (multiplicity 1)
Mg 0.500 0.500 0.000 (multiplicity 1)
Zn 0.000 0.000 0.500 (multiplicity 1)
Ga 0.000 0.500 0.258 (multiplicity 2)

[4]
Diffraction record for PrMg4GaPt2. The powder diffraction line list is computed, not measured: it uses a DFT-relaxed cell (GGA-PBE, OQMD) and CuKα.

Peak list (6 most intense, 2θ from 5° to 70°, low angle first)
2θ/deg, I (rel.), h k l
22.27, 100, 2 0 0
24.99, 63, 1 1 1
31.73, 48, 2 1 1
36.01, 91, 1 1 3
38.14, 34, 1 0 4
48.70, 35, 3 1 3

Structure:
a = 7.991 Å, b = 4.349 Å, c = 9.878 Å
α = 90.00°, β = 90.00°, γ = 90.00°
Space group Amm2 (No. 38)
Inequivalent atoms, fractional coordinates:
Pr 0.000 0.000 0.000 (multiplicity 2)
Mg 0.213 0.000 0.707 (multiplicity 4)
Mg 0.315 0.000 0.404 (multiplicity 4)
Ga 0.500 0.000 0.115 (multiplicity 2)
Pt 0.000 0.000 0.292 (multiplicity 2)
Pt 0.500 0.000 0.852 (multiplicity 2)

[5]
Diffraction record for SrMg2GaPt. The powder diffraction line list is computed, not measured: it uses a DFT-relaxed cell (GGA-PBE, OQMD) and CuKα.

Peak list (6 most intense, 2θ from 5° to 70°, low angle first)
2θ/deg, I (rel.), h k l
21.36, 86, 1 0 1
28.42, 100, 1 1 0
30.26, 96, 1 0 3
32.25, 83, 1 1 2
40.62, 69, 2 0 0
43.24, 86, 1 0 5

Structure:
a = 4.442 Å, b = 4.442 Å, c = 11.862 Å
α = 90.00°, β = 90.00°, γ = 90.00°
Space group I4mm (No. 107)
Inequivalent atoms, fractional coordinates:
Sr 0.000 0.000 0.000 (multiplicity 2)
Mg 0.000 0.500 0.240 (multiplicity 4)
Ga 0.000 0.000 0.394 (multiplicity 2)
Pt 0.000 0.000 0.607 (multiplicity 2)

[6]
Diffraction record for TmMgGa4Pt2. The powder diffraction line list is computed, not measured: it uses a DFT-relaxed cell (GGA-PBE, OQMD) and CuKα.

Peak list (6 most intense, 2θ from 5° to 70°, low angle first)
2θ/deg, I (rel.), h k l
26.29, 56, 1 1 1
34.79, 90, 2 1 1
37.09, 100, 1 1 3
38.99, 49, 1 0 4
42.61, 50, 0 2 0
43.74, 56, 2 1 3

Structure:
a = 6.883 Å, b = 4.244 Å, c = 9.809 Å
α = 90.00°, β = 90.00°, γ = 90.00°
Space group Amm2 (No. 38)
Inequivalent atoms, fractional coordinates:
Tm 0.000 0.000 0.000 (multiplicity 2)
Mg 0.500 0.000 0.843 (multiplicity 2)
Ga 0.204 0.000 0.290 (multiplicity 4)
Ga 0.303 0.000 0.556 (multiplicity 4)
Pt 0.000 0.000 0.713 (multiplicity 2)
Pt 0.500 0.000 0.126 (multiplicity 2)

[7]
Diffraction record for MgGa4Re. The powder diffraction line list is computed, not measured: it uses a DFT-relaxed cell (GGA-PBE, OQMD) and CuKα.

Peak list (6 most intense, 2θ from 5° to 70°, low angle first)
2θ/deg, I (rel.), h k l
16.36, 37, 0 0 1
28.16, 44, 1 0 1
39.96, 100, 1 1 0
40.52, 96, 1 0 2
43.45, 20, 1 1 1
58.22, 33, 2 0 2

Structure:
a = 4.5120 Å, b = 4.5120 Å, c = 5.4182 Å
α = 90.00°, β = 90.00°, γ = 120.00°
Space group P6/mmm (No. 191)
Inequivalent atoms, fractional coordinates:
Mg 0.0000 0.0000 0.0000 (multiplicity 1)
Ga 0.3333 0.6667 0.2604 (multiplicity 4)
Re 0.0000 0.0000 0.5000 (multiplicity 1)

[8]
Diffraction record for MgSc2ZnGa2. The powder diffraction line list is computed, not measured: it uses a DFT-relaxed cell (GGA-PBE, OQMD) and CuKα.

Peak list (6 most intense, 2θ from 5° to 70°, low angle first)
2θ/deg, I (rel.), h k l
26.87, 11, 1 0 1
27.42, 18, 0 0 2
36.12, 100, 1 0 2
40.50, 87, 1 1 0
49.61, 21, 1 1 2
55.38, 27, 2 0 2

Structure:
a = 4.4542 Å, b = 4.4542 Å, c = 6.5051 Å
α = 90.00°, β = 90.00°, γ = 120.00°
Space group P-6m2 (No. 187)
Inequivalent atoms, fractional coordinates:
Mg 0.0000 0.0000 0.0000 (multiplicity 1)
Sc 0.3333 0.6667 0.2537 (multiplicity 2)
Zn 0.6667 0.3333 0.5000 (multiplicity 1)
Ga 0.0000 0.0000 0.5000 (multiplicity 1)
Ga 0.6667 0.3333 0.0000 (multiplicity 1)

[9]
Diffraction record for SrMgZn2Ga. The powder diffraction line list is computed, not measured: it uses a DFT-relaxed cell (GGA-PBE, OQMD) and CuKα.

Peak list (6 most intense, 2θ from 5° to 70°, low angle first)
2θ/deg, I (rel.), h k l
31.06, 49, 1 0 3
32.55, 100, 1 1 2
40.55, 53, 2 0 0
44.88, 21, 1 0 5
51.94, 23, 2 1 3
68.74, 21, 3 1 2

Structure:
a = 4.450 Å, b = 4.450 Å, c = 11.332 Å
α = 90.00°, β = 90.00°, γ = 90.00°
Space group I4mm (No. 107)
Inequivalent atoms, fractional coordinates:
Sr 0.000 0.000 0.000 (multiplicity 2)
Mg 0.000 0.000 0.375 (multiplicity 2)
Zn 0.000 0.500 0.234 (multiplicity 4)
Ga 0.000 0.000 0.617 (multiplicity 2)

[10]
Diffraction record for MgTa2Ga. The powder diffraction line list is computed, not measured: it uses a DFT-relaxed cell (GGA-PBE, OQMD) and CuKα.

Peak list (6 most intense, 2θ from 5° to 70°, low angle first)
2θ/deg, I (rel.), h k l
23.43, 40, 1 1 1
27.12, 1, 2 0 0
38.73, 100, 2 2 0
45.76, 21, 3 1 1
55.93, 17, 4 0 0
61.46, 9, 3 3 1

Structure:
a = 6.576 Å, b = 6.576 Å, c = 6.576 Å
α = 90.00°, β = 90.00°, γ = 90.00°
Space group F-43m (No. 216)
Inequivalent atoms, fractional coordinates:
Mg 0.000 0.000 0.000 (multiplicity 4)
Ta 0.000 0.000 0.500 (multiplicity 4)
Ta 0.250 0.250 0.250 (multiplicity 4)
Ga 0.250 0.250 0.750 (multiplicity 4)

[11]
Diffraction record for TbTm2Mg3Ga3. The powder diffraction line list is computed, not measured: it uses a DFT-relaxed cell (GGA-PBE, OQMD) and CuKα.

Peak list (6 most intense, 2θ from 5° to 70°, low angle first)
2θ/deg, I (rel.), h k l
20.13, 39, 1 0 0
31.97, 71, 1 3 1
32.07, 37, 1 0 2
35.06, 48, 1 4 0
35.19, 100, 1 2 2
40.91, 35, 2 0 0

Structure:
a = 4.412 Å, b = 12.568 Å, c = 7.206 Å
α = 90.00°, β = 90.00°, γ = 90.00°
Space group Amm2 (No. 38)
Inequivalent atoms, fractional coordinates:
Tb 0.000 0.000 0.000 (multiplicity 2)
Tm 0.000 0.214 0.358 (multiplicity 4)
Mg 0.500 0.000 0.328 (multiplicity 2)
Mg 0.500 0.122 0.693 (multiplicity 4)
Ga 0.000 0.000 0.568 (multiplicity 2)
Ga 0.500 0.168 0.072 (multiplicity 4)

[12]
Diffraction record for TmMg2Ga2. The powder diffraction line list is computed, not measured: it uses a DFT-relaxed cell (GGA-PBE, OQMD) and CuKα.

Peak list (6 most intense, 2θ from 5° to 70°, low angle first)
2θ/deg, I (rel.), h k l
22.82, 45, 2 0 0
25.34, 63, 0 0 1
34.36, 65, 2 0 1
36.30, 58, 2 1 1
36.45, 100, 3 1 0
44.92, 75, 3 1 1

Structure:
a = 7.795 Å, b = 7.795 Å, c = 3.514 Å
α = 90.00°, β = 90.00°, γ = 90.00°
Space group P4/mbm (No. 127)
Inequivalent atoms, fractional coordinates:
Tm 0.000 0.000 0.000 (multiplicity 2)
Mg 0.173 0.327 0.500 (multiplicity 4)
Ga 0.125 0.625 0.000 (multiplicity 4)

Q: What is the formula in the twelfth record?
A: TmMg2Ga2

Copy entry 4 word for word.
Diffraction record for PrMg4GaPt2. The powder diffraction line list is computed, not measured: it uses a DFT-relaxed cell (GGA-PBE, OQMD) and CuKα.

Peak list (6 most intense, 2θ from 5° to 70°, low angle first)
2θ/deg, I (rel.), h k l
22.27, 100, 2 0 0
24.99, 63, 1 1 1
31.73, 48, 2 1 1
36.01, 91, 1 1 3
38.14, 34, 1 0 4
48.70, 35, 3 1 3

Structure:
a = 7.991 Å, b = 4.349 Å, c = 9.878 Å
α = 90.00°, β = 90.00°, γ = 90.00°
Space group Amm2 (No. 38)
Inequivalent atoms, fractional coordinates:
Pr 0.000 0.000 0.000 (multiplicity 2)
Mg 0.213 0.000 0.707 (multiplicity 4)
Mg 0.315 0.000 0.404 (multiplicity 4)
Ga 0.500 0.000 0.115 (multiplicity 2)
Pt 0.000 0.000 0.292 (multiplicity 2)
Pt 0.500 0.000 0.852 (multiplicity 2)